InAgMoO5: theoretical powder diffraction line list (a wavelength of 1.5418 Å), based on DFT lattice parameters and positions (PBE+U).

Top 10 peaks for 2θ = 5–70°, most intense first:
| Position (°2θ) | intensity | h k l |
| --- | --- | --- |
| 24.04 | 100 | 2 0 0 |
| 24.98 | 81 | 1 1 -2 |
| 31.07 | 74 | 1 3 0 |
| 31.92 | 32 | 0 2 2 |
| 46.92 | 28 | 3 3 0 |
| 32.90 | 21 | 2 2 -2 |
| 35.85 | 20 | 3 1 -2 |
| 34.02 | 19 | 1 1 2 |
| 47.15 | 17 | 2 0 -4 |
| 49.24 | 15 | 4 0 0 |

Cell: 8.169 9.373 7.721 Å, 90.00 115.02 90.00°
Space group C2/c (No. 15)
Asymmetric unit:
In 0.000 0.000 0.000 x4
Ag 0.000 0.308 0.250 x4
Mo 0.000 0.353 0.750 x4
O 0.000 0.071 0.250 x4
O 0.038 0.238 0.584 x8
O 0.193 0.466 0.876 x8